Structure and theoretical powder diffraction line list of CsRbGeAuF (the GGA-PBE geometry in Alexandria; a wavelength of 1.5418 Å).
Kinematic intensities with the Lorentz-polarization factor, no thermal factor.

```
CsRbGeAuF
1.0
4.3637 0.0000 0.0000
-2.1819 3.7791 0.0000
0.0000 0.0000 27.7872
Cs Rb Ge Au F
3 3 3 3 3
Cartesian
0.0000 0.0000 0.0000
0.0000 2.5194 18.5248
2.1819 1.2597 9.2624
0.0000 0.0000 21.8588
0.0000 2.5194 12.5964
2.1819 1.2597 3.3340
0.0000 0.0000 6.1934
0.0000 2.5194 24.7182
2.1819 1.2597 15.4558
0.0000 0.0000 15.4531
0.0000 2.5194 6.1907
2.1819 1.2597 24.7155
0.0000 0.0000 10.9825
0.0000 2.5194 1.7201
2.1819 1.2597 20.2449
```

Top 10 peaks for 2θ from 10° to 90°, most intense first:
2θ 28.56, rel. 100; 2θ 26.86, rel. 91; 2θ 41.38, rel. 69; 2θ 51.27, rel. 61; 2θ 28.92, rel. 50; 2θ 75.44, rel. 32; 2θ 24.41, rel. 29; 2θ 32.72, rel. 24; 2θ 48.96, rel. 20; 2θ 51.05, rel. 20

=====

Structure and theoretical powder diffraction line list of NdY2Zn9 (the GGA-PBE geometry in Alexandria; a wavelength of 1.5418 Å).
Kinematic intensities with the Lorentz-polarization factor, no thermal factor.

```
NdY2Zn9
1.0
2.7403 1.5821 8.6256
-2.7403 1.5821 8.6256
0.0000 -3.1642 8.6256
Nd Y Zn
1 2 9
Cartesian
0.0000 0.0000 0.0000
0.0000 0.0000 3.6315
0.0000 0.0000 22.2454
-1.3966 -0.8063 10.7727
0.0000 0.0000 8.6717
0.0000 -1.6127 15.1042
-1.3966 0.8063 15.1042
0.0000 0.0000 12.9384
1.3966 -0.8063 10.7727
0.0000 1.6126 10.7727
0.0000 0.0000 17.2052
1.3966 0.8063 15.1042
```

Top 10 peaks for 2θ from 10° to 90°, most intense first:
2θ 38.94, rel. 100; 2θ 41.89, rel. 38; 2θ 32.68, rel. 36; 2θ 38.08, rel. 35; 2θ 33.53, rel. 29; 2θ 62.53, rel. 24; 2θ 68.48, rel. 23; 2θ 30.65, rel. 23; 2θ 63.80, rel. 18; 2θ 83.61, rel. 16